No. 1
Structure and theoretical XRD peak list of KLiMoO4 (DFT lattice parameters and positions (PBE+U); a wavelength of 1.5418 Å).
Peak positions follow from Bragg's law for the DFT cell and can differ from measured ones.

Peak list (10 most intense, 10 to 90 degrees two-theta, by angle)
two_theta  I_rel
18.68  100
21.92  7
30.51  45
31.20  12
35.42  11
36.61  24
47.91  15
53.80  10
55.09  14
59.10  7

Atomic structure:
```
KLiMoO4
1.0
-2.8671 2.8671 4.2376
2.8671 -2.8671 4.2376
2.8671 2.8671 -4.2376
K Li Mo O
1 1 1 4
direct
0.0000 0.0000 0.0000
0.5000 0.5000 0.0000
0.2500 0.7500 0.5000
0.2556 0.6425 0.1548
0.3575 0.5122 0.6131
0.4878 0.1009 0.8452
0.8991 0.7444 0.3869
```

---

No. 2
Structure and theoretical XRD peak list of Li2FeSi6O15 (DFT lattice parameters and positions (PBE+U); a wavelength of 1.5418 Å).
Peak positions follow from Bragg's law for the DFT cell and can differ from measured ones.

Peak list (10 most intense, 10 to 90 degrees two-theta, by angle)
two_theta  I_rel
13.88  63
14.80  46
15.26  99
18.78  100
21.70  83
24.46  41
25.69  83
26.55  69
27.83  79
31.79  64

Atomic structure:
```
Li2FeSi6O15
1.0
6.9994 0.0000 0.0000
0.0000 12.7592 0.0000
-2.7423 0.0000 7.0294
Li Fe Si O
4 2 12 30
direct
0.1495 0.0000 0.4612
0.2194 0.1500 0.1506
0.7806 0.6500 0.8494
0.8505 0.5000 0.5388
0.2560 0.5852 0.7475
0.7440 0.0852 0.2525
0.0083 0.4874 0.0215
0.0295 0.6653 0.3066
0.2966 0.8242 0.9085
0.3115 0.3249 0.7125
0.4690 0.4964 0.1849
0.4859 0.6721 0.4657
0.5141 0.1721 0.5343
0.5310 0.9964 0.8151
0.6885 0.8249 0.2875
0.7034 0.3242 0.0915
0.9705 0.1653 0.6934
0.9917 0.9874 0.9785
0.0152 0.0270 0.1884
0.0390 0.5985 0.4912
0.0708 0.0913 0.8862
0.1038 0.2730 0.7273
0.1391 0.8883 0.9837
0.1761 0.7197 0.8056
0.2406 0.4533 0.1610
0.2570 0.7008 0.3162
0.2846 0.4483 0.6632
0.3586 0.9016 0.7607
0.3600 0.2677 0.5386
0.4328 0.0670 0.6191
0.4543 0.5612 0.9956
0.4920 0.2988 0.9157
0.4975 0.6486 0.6784
0.5025 0.1486 0.3216
0.5080 0.7988 0.0843
0.5457 0.0612 0.0044
0.5672 0.5670 0.3809
0.6400 0.7677 0.4614
0.6414 0.4016 0.2393
0.7154 0.9483 0.3368
0.7430 0.2008 0.6838
0.7594 0.9533 0.8390
0.8239 0.2197 0.1944
0.8609 0.3883 0.0163
0.8962 0.7730 0.2727
0.9292 0.5913 0.1138
0.9610 0.0985 0.5088
0.9848 0.5270 0.8116
```